Calculated powder diffraction line list of Zr4Tl2CN for Cu Kα (weighted mean of Kα1 and Kα2), from a DFT-relaxed cell (PBE, OQMD).
Neutral-atom scattering factors, no anomalous dispersion.

Peak list (12 most intense, 2θ = 5–70°, sorted by position)
Position (°2θ), Rel. int., (hkl)
11.90, 14, 0 0 2
23.92, 6, 0 0 4
30.58, 22, 1 0 0
31.18, 11, 1 0 1
32.92, 5, 1 0 2
35.65, 100, 0 1 3
36.22, 20, 0 0 6
48.11, 16, 1 0 6
54.35, 21, 1 1 0
64.78, 17, 0 1 9
66.70, 16, 2 0 3
67.07, 20, 1 1 6

Atomic structure:
Cell lengths 3.376, 3.376, 14.879 Å; angles 90.00, 90.00, 120.00 degrees
Fractional positions:
Zr 0.333 0.667 0.081
Zr 0.333 0.667 0.417
Zr 0.667 0.333 0.583
Zr 0.667 0.333 0.919
Tl 0.333 0.667 0.752
Tl 0.667 0.333 0.248
C 0.000 0.000 0.500
N 0.000 0.000 0.000

***

Calculated powder diffraction line list of Zn2W8C3N3 for Cu Kα (weighted mean of Kα1 and Kα2), from a DFT-relaxed cell (PBE, OQMD).
Neutral-atom scattering factors, no anomalous dispersion.

Peak list (12 most intense, 2θ = 5–70°, sorted by position)
Position (°2θ), Rel. int., (hkl)
27.59, 27, 0 0 8
34.68, 40, 0 0 10
36.03, 15, 0 1 1
36.55, 40, 1 0 2
37.39, 20, 1 0 3
38.55, 30, 0 1 4
40.00, 67, 1 0 5
41.71, 100, 0 1 6
53.45, 17, 0 1 11
56.31, 28, 1 0 12
64.44, 38, 1 1 0
69.16, 14, 0 1 16

Atomic structure:
Cell lengths 2.892, 2.892, 25.868 Å; angles 90.00, 90.00, 120.00 degrees
Fractional positions:
Zn 0.333 0.667 0.246
Zn 0.667 0.333 0.754
W 0.000 0.000 0.159
W 0.000 0.000 0.331
W 0.000 0.000 0.669
W 0.000 0.000 0.841
W 0.333 0.667 0.054
W 0.333 0.667 0.443
W 0.667 0.333 0.557
W 0.667 0.333 0.946
C 0.000 0.000 0.000
C 0.333 0.667 0.891
C 0.667 0.333 0.109
N 0.000 0.000 0.500
N 0.333 0.667 0.615
N 0.667 0.333 0.385

***

Calculated powder diffraction line list of Y8Zn2C3N3 for Cu Kα (weighted mean of Kα1 and Kα2), from a DFT-relaxed cell (PBE, OQMD).
Neutral-atom scattering factors, no anomalous dispersion.

Peak list (12 most intense, 2θ = 5–70°, sorted by position)
Position (°2θ), Rel. int., (hkl)
29.38, 24, 1 0 1
29.97, 23, 0 1 2
32.20, 44, 1 0 4
33.69, 36, 0 0 10
33.79, 85, 0 1 5
35.65, 100, 1 0 6
47.95, 15, 1 0 11
50.87, 18, 0 1 12
51.75, 52, 1 1 0
63.20, 48, 1 1 10
63.70, 15, 1 0 16
64.43, 16, 0 2 6

Atomic structure:
Cell lengths 3.533, 3.533, 26.601 Å; angles 90.00, 90.00, 120.00 degrees
Fractional positions:
Y 0.000 0.000 0.155
Y 0.000 0.000 0.338
Y 0.000 0.000 0.662
Y 0.000 0.000 0.845
Y 0.333 0.667 0.556
Y 0.333 0.667 0.949
Y 0.667 0.333 0.051
Y 0.667 0.333 0.444
Zn 0.333 0.667 0.758
Zn 0.667 0.333 0.242
C 0.000 0.000 0.500
C 0.333 0.667 0.383
C 0.667 0.333 0.617
N 0.000 0.000 0.000
N 0.333 0.667 0.108
N 0.667 0.333 0.892

***

Calculated powder diffraction line list of ZnC4N6 for Cu Kα (weighted mean of Kα1 and Kα2), from a DFT-relaxed cell (PBE, OQMD).
Neutral-atom scattering factors, no anomalous dispersion.

Peak list (12 most intense, 2θ = 5–70°, sorted by position)
Position (°2θ), Rel. int., (hkl)
13.98, 58, 0 1 1
18.19, 17, 1 1 1
19.31, 36, 1 0 2
23.27, 47, 2 0 0
23.46, 57, 0 2 0
26.03, 21, 0 1 3
28.03, 38, 2 0 2
28.19, 14, 0 2 2
28.58, 100, 1 1 3
30.56, 36, 1 2 2
44.53, 20, 1 3 3
47.65, 26, 2 1 5

Atomic structure:
Cell lengths 7.644, 7.584, 11.505 Å; angles 90.00, 90.00, 90.00 degrees
Fractional positions:
Zn 0.230 0.250 0.152
Zn 0.270 0.750 0.652
Zn 0.730 0.250 0.348
Zn 0.770 0.750 0.848
C 0.079 0.250 0.481
C 0.123 0.750 0.977
C 0.222 0.100 0.776
C 0.222 0.400 0.776
C 0.278 0.600 0.276
C 0.278 0.900 0.276
C 0.377 0.250 0.477
C 0.421 0.750 0.981
C 0.579 0.250 0.019
C 0.623 0.750 0.523
C 0.722 0.100 0.724
C 0.722 0.400 0.724
C 0.778 0.600 0.224
C 0.778 0.900 0.224
C 0.877 0.250 0.023
C 0.921 0.750 0.519
N 0.020 0.250 0.060
N 0.068 0.750 0.551
N 0.162 0.250 0.808
N 0.229 0.250 0.530
N 0.234 0.045 0.255
N 0.234 0.455 0.255
N 0.266 0.545 0.755
N 0.266 0.955 0.755
N 0.271 0.750 0.030
N 0.338 0.750 0.308
N 0.432 0.250 0.051
N 0.480 0.750 0.560
N 0.520 0.250 0.440
N 0.568 0.750 0.949
N 0.662 0.250 0.692
N 0.729 0.250 0.970
N 0.734 0.045 0.245
N 0.734 0.455 0.245
N 0.766 0.545 0.745
N 0.766 0.955 0.745
N 0.771 0.750 0.470
N 0.838 0.750 0.192
N 0.932 0.250 0.449
N 0.980 0.750 0.940